Diffraction record for Dy3Ho3Sc. The X-ray powder pattern is simulated, not measured: it uses DFT lattice parameters and positions (PBE) and λ = 1.5418 Å (Cu Kα).
Intensities are scaled so that the largest is 100.

Largest 8 diffraction maxima, by intensity, 2θ from 15° to 90°:
33.21°, intensity 100, hkl 1 2 1; 28.95°, intensity 24, hkl 1 2 0; 32.18°, intensity 24, hkl 0 0 2; 61.86°, intensity 22, hkl 4 1 2; 58.03°, intensity 20, hkl 1 2 3; 51.30°, intensity 20, hkl 4 1 0; 62.49°, intensity 16, hkl 2 4 1; 43.83°, intensity 16, hkl 1 2 2

```
data_Dy3Ho3Sc
_cell_length_a 9.4238
_cell_length_b 9.4238
_cell_length_c 5.5632
_cell_angle_alpha 90.00
_cell_angle_beta 90.00
_cell_angle_gamma 120.00
_space_group_name_H-M_alt 'P 63/m'
_space_group_IT_number 176
_space_group_name_Hall '-P 6c'
loop_
_atom_site_label
_atom_site_type_symbol
_atom_site_fract_x
_atom_site_fract_y
_atom_site_fract_z
_atom_site_occupancy
Dy1 Dy 0.0967 0.6187 0.2500 1
Ho1 Ho 0.0511 0.8100 0.7500 1
Sc1 Sc 0.3333 0.6667 0.7500 1
```